Starting from a crystal structure in Alexandria, relaxed with PBE, the powder X-ray diffraction pattern of CrNi7 was computed for Cu Kα X-rays.
Kinematic intensities with the Lorentz-polarization factor, no thermal factor.

Crystal structure
```
CrNi7
1.0
4.990 0.000 0.000
-2.495 4.322 0.000
0.000 0.000 4.070
Cr Ni
1 7
Direct
0.000 0.000 0.000 Cr
0.167 0.334 0.500 Ni
0.167 0.833 0.500 Ni
0.500 0.001 0.000 Ni
0.500 0.500 0.000 Ni
0.666 0.833 0.500 Ni
0.667 0.333 0.500 Ni
0.999 0.500 0.000 Ni
```

Main lines, most intense first (15 to 90 degrees two-theta):
- (2 0 1), 2θ = 47.6°, d 1.909, intensity 100.0
- (0 0 2), 2θ = 44.5°, d 2.035, intensity 27.5
- (2 0 0), 2θ = 41.8°, d 2.161, intensity 25.0
- (2 0 3), 2θ = 84.3°, d 1.149, intensity 16.7
- (2 2 0), 2θ = 76.3°, d 1.248, intensity 14.6
- (2 0 2), 2θ = 62.7°, d 1.482, intensity 13.7